No. 1
# TbPr2Mg4Si4
Calculated powder X-ray diffraction pattern, Cu Kα. Input: a cell relaxed with PBE.
No peak broadening, texture or thermal motion is included.

Crystal structure
Unit cell a=4.1917 b=4.3932 c=26.6506 alpha=90.00 beta=90.00 gamma=90.00
Space group Immm (No. 71)
One atom of each set of equivalent atoms:
Tb 0.0000 0.0000 0.0000 (multiplicity 2)
Pr 0.0000 0.5000 0.1407 (multiplicity 4)
Mg 0.0000 0.0000 0.2510 (multiplicity 4)
Mg 0.0000 0.5000 0.4084 (multiplicity 4)
Si 0.0000 0.0000 0.4564 (multiplicity 4)
Si 0.0000 0.5000 0.3127 (multiplicity 4)

The 10 most intense peaks (2θ from 10° to 90°), by angle:
| hkl | Position (°2θ) | Rel. int. |
| --- | --- | --- |
| 1 0 1 | 21.46 | 22 |
| 0 1 3 | 22.58 | 41 |
| 1 1 2 | 30.22 | 23 |
| 1 0 7 | 31.75 | 50 |
| 1 1 4 | 32.44 | 100 |
| 0 2 0 | 41.09 | 20 |
| 0 1 11 | 42.62 | 29 |
| 2 0 0 | 43.16 | 19 |
| 1 2 7 | 52.84 | 23 |
| 2 1 11 | 62.27 | 19 |

No. 2
# BaGa3Au4
Calculated powder X-ray diffraction pattern, Cu Kα. Input: a cell relaxed with PBE.
No peak broadening, texture or thermal motion is included.

Crystal structure
Unit cell a=5.2678 b=4.6742 c=7.7840 alpha=90.00 beta=91.90 gamma=90.00
Space group Pm (No. 6)
One atom of each set of equivalent atoms:
Ba 0.0000 0.0000 0.0000 (multiplicity 1)
Ga 0.1172 0.0000 0.4658 (multiplicity 1)
Ga 0.4223 0.5000 0.2612 (multiplicity 1)
Ga 0.6848 0.5000 0.6820 (multiplicity 1)
Au 0.1704 0.5000 0.6963 (multiplicity 1)
Au 0.4844 0.0000 0.7181 (multiplicity 1)
Au 0.6066 0.0000 0.3457 (multiplicity 1)
Au 0.9365 0.5000 0.3333 (multiplicity 1)

The 10 most intense peaks (2θ from 10° to 90°), by angle:
| hkl | Position (°2θ) | Rel. int. |
| --- | --- | --- |
| 0 0 1 | 11.37 | 100 |
| 0 0 2 | 22.86 | 51 |
| 1 1 0 | 25.48 | 52 |
| 1 1 -2 | 34.09 | 64 |
| 0 0 3 | 34.59 | 70 |
| 1 1 2 | 34.88 | 65 |
| 0 2 0 | 38.52 | 88 |
| 2 1 -1 | 40.69 | 65 |
| 2 1 1 | 41.36 | 74 |
| 2 1 -2 | 45.30 | 48 |

No. 3
# Zn3Mo2W4C3
Calculated powder X-ray diffraction pattern, Cu Kα. Input: a cell relaxed with PBE.
No peak broadening, texture or thermal motion is included.

Crystal structure
Unit cell a=9.0635 b=5.2271 c=14.1332 alpha=90.00 beta=102.47 gamma=90.00
Space group C2/c (No. 15)
One atom of each set of equivalent atoms:
Zn 0.0000 0.0694 0.2500 (multiplicity 4)
Zn 0.2402 0.3454 0.2498 (multiplicity 8)
Mo 0.0514 0.4181 0.9075 (multiplicity 8)
W 0.1123 0.0847 0.0850 (multiplicity 8)
W 0.2218 0.0829 0.4150 (multiplicity 8)
C 0.0806 0.2571 0.5000 (multiplicity 8)
C 0.2500 0.2500 0.0000 (multiplicity 4)

The 10 most intense peaks (2θ from 10° to 90°), by angle:
| hkl | Position (°2θ) | Rel. int. |
| --- | --- | --- |
| 0 0 2 | 12.83 | 21 |
| 1 1 0 | 19.73 | 9 |
| 0 2 0 | 34.29 | 17 |
| 3 1 0 | 34.92 | 21 |
| 0 0 6 | 39.17 | 27 |
| 3 1 2 | 39.65 | 100 |
| 3 1 3 | 43.42 | 9 |
| 0 2 6 | 53.00 | 8 |
| 6 0 -2 | 61.41 | 14 |
| 3 1 -10 | 71.27 | 11 |

No. 4
# FeH13C12S2N
Calculated powder X-ray diffraction pattern, Cu Kα. Input: a cell relaxed with PBE.
No peak broadening, texture or thermal motion is included.

Crystal structure
Unit cell a=25.6974 b=6.9566 c=7.2200 alpha=90.00 beta=96.55 gamma=90.00
Space group Cc (No. 9)
One atom of each set of equivalent atoms:
Fe 0.0000 0.0087 0.0000 (multiplicity 4)
H 0.0528 0.3540 0.3986 (multiplicity 4)
H 0.1219 0.3954 0.9388 (multiplicity 4)
H 0.1606 0.0371 0.6803 (multiplicity 4)
H 0.2115 0.4677 0.8562 (multiplicity 4)
H 0.2302 0.2149 0.2195 (multiplicity 4)
H 0.2413 0.2441 0.6630 (multiplicity 4)
H 0.2686 0.0161 0.9245 (multiplicity 4)
H 0.3060 0.4817 0.5683 (multiplicity 4)
H 0.3589 0.0209 0.0819 (multiplicity 4)
H 0.3962 0.4912 0.7287 (multiplicity 4)
H 0.4288 0.2408 0.5856 (multiplicity 4)
H 0.4431 0.2113 0.3673 (multiplicity 4)
H 0.4797 0.1121 0.5427 (multiplicity 4)
C 0.0918 0.3240 0.3603 (multiplicity 4)
C 0.1027 0.1423 0.2897 (multiplicity 4)
C 0.1308 0.4638 0.3836 (multiplicity 4)
C 0.1526 0.1033 0.2382 (multiplicity 4)
C 0.1808 0.4237 0.3359 (multiplicity 4)
C 0.1915 0.2445 0.2612 (multiplicity 4)
C 0.2811 0.2470 0.7339 (multiplicity 4)
C 0.2966 0.1190 0.8792 (multiplicity 4)
C 0.3174 0.3796 0.6803 (multiplicity 4)
C 0.3477 0.1211 0.9678 (multiplicity 4)
C 0.3685 0.3840 0.7698 (multiplicity 4)
C 0.3846 0.2534 0.9138 (multiplicity 4)
S 0.0545 0.0413 0.7694 (multiplicity 4)
S 0.4486 0.2512 0.0330 (multiplicity 4)
N 0.4590 0.2350 0.5037 (multiplicity 4)

The 10 most intense peaks (2θ from 10° to 90°), by angle:
| hkl | Position (°2θ) | Rel. int. |
| --- | --- | --- |
| 1 1 0 | 13.19 | 100 |
| 3 1 0 | 16.46 | 61 |
| 1 1 1 | 18.37 | 19 |
| 3 1 -1 | 19.89 | 46 |
| 5 1 0 | 21.59 | 16 |
| 2 0 -2 | 25.01 | 17 |
| 2 0 2 | 26.57 | 46 |
| 4 0 -2 | 27.09 | 17 |
| 6 2 0 | 33.27 | 15 |
| 9 1 -2 | 40.36 | 24 |

What did the fourth record say?
# FeH13C12S2N
Calculated powder X-ray diffraction pattern, Cu Kα. Input: a cell relaxed with PBE.
No peak broadening, texture or thermal motion is included.

Crystal structure
Unit cell a=25.6974 b=6.9566 c=7.2200 alpha=90.00 beta=96.55 gamma=90.00
Space group Cc (No. 9)
One atom of each set of equivalent atoms:
Fe 0.0000 0.0087 0.0000 (multiplicity 4)
H 0.0528 0.3540 0.3986 (multiplicity 4)
H 0.1219 0.3954 0.9388 (multiplicity 4)
H 0.1606 0.0371 0.6803 (multiplicity 4)
H 0.2115 0.4677 0.8562 (multiplicity 4)
H 0.2302 0.2149 0.2195 (multiplicity 4)
H 0.2413 0.2441 0.6630 (multiplicity 4)
H 0.2686 0.0161 0.9245 (multiplicity 4)
H 0.3060 0.4817 0.5683 (multiplicity 4)
H 0.3589 0.0209 0.0819 (multiplicity 4)
H 0.3962 0.4912 0.7287 (multiplicity 4)
H 0.4288 0.2408 0.5856 (multiplicity 4)
H 0.4431 0.2113 0.3673 (multiplicity 4)
H 0.4797 0.1121 0.5427 (multiplicity 4)
C 0.0918 0.3240 0.3603 (multiplicity 4)
C 0.1027 0.1423 0.2897 (multiplicity 4)
C 0.1308 0.4638 0.3836 (multiplicity 4)
C 0.1526 0.1033 0.2382 (multiplicity 4)
C 0.1808 0.4237 0.3359 (multiplicity 4)
C 0.1915 0.2445 0.2612 (multiplicity 4)
C 0.2811 0.2470 0.7339 (multiplicity 4)
C 0.2966 0.1190 0.8792 (multiplicity 4)
C 0.3174 0.3796 0.6803 (multiplicity 4)
C 0.3477 0.1211 0.9678 (multiplicity 4)
C 0.3685 0.3840 0.7698 (multiplicity 4)
C 0.3846 0.2534 0.9138 (multiplicity 4)
S 0.0545 0.0413 0.7694 (multiplicity 4)
S 0.4486 0.2512 0.0330 (multiplicity 4)
N 0.4590 0.2350 0.5037 (multiplicity 4)

The 10 most intense peaks (2θ from 10° to 90°), by angle:
| hkl | Position (°2θ) | Rel. int. |
| --- | --- | --- |
| 1 1 0 | 13.19 | 100 |
| 3 1 0 | 16.46 | 61 |
| 1 1 1 | 18.37 | 19 |
| 3 1 -1 | 19.89 | 46 |
| 5 1 0 | 21.59 | 16 |
| 2 0 -2 | 25.01 | 17 |
| 2 0 2 | 26.57 | 46 |
| 4 0 -2 | 27.09 | 17 |
| 6 2 0 | 33.27 | 15 |
| 9 1 -2 | 40.36 | 24 |